Diffraction record for Nb2CoP6O21. The powder diffraction line list is computed, not measured: it uses a cell relaxed with GGA+U and CuKα.
Intensities are scaled so that the largest is 100.

Cell and atoms:
Unit cell a=6.633 b=8.079 c=16.957 alpha=90.00 beta=112.46 gamma=90.00
Atoms (fractional coordinates):
Nb1 0.203 0.021 0.167
Nb2 0.203 0.479 0.667
Nb3 0.797 0.521 0.333
Nb4 0.797 0.979 0.833
Co1 0.500 0.000 0.500
Co2 0.500 0.500 0.000
P1 0.051 0.607 0.834
P2 0.051 0.893 0.334
P3 0.296 0.116 0.983
P4 0.296 0.384 0.483
P5 0.321 0.603 0.161
P6 0.321 0.897 0.661
P7 0.679 0.103 0.339
P8 0.679 0.397 0.839
P9 0.704 0.616 0.517
P10 0.704 0.884 0.017
P11 0.949 0.107 0.666
P12 0.949 0.393 0.166
O1 0.096 0.553 0.169
O2 0.096 0.947 0.669
O3 0.101 0.024 0.916
O4 0.101 0.476 0.416
O5 0.109 0.244 0.191
O6 0.109 0.256 0.691
O7 0.127 0.574 0.760
O8 0.127 0.926 0.260
O9 0.231 0.630 0.919
O10 0.231 0.870 0.419
O11 0.266 0.110 0.070
O12 0.266 0.390 0.570
O13 0.296 0.706 0.647
O14 0.296 0.794 0.147
O15 0.332 0.218 0.454
O16 0.332 0.282 0.954
O17 0.360 0.508 0.093
O18 0.360 0.992 0.593
O19 0.497 0.573 0.252
O20 0.497 0.927 0.752
O21 0.500 0.000 0.000
O22 0.500 0.500 0.500
O23 0.503 0.073 0.248
O24 0.503 0.427 0.748
O25 0.640 0.008 0.407
O26 0.640 0.492 0.907
O27 0.668 0.718 0.046
O28 0.668 0.782 0.546
O29 0.704 0.206 0.853
O30 0.704 0.294 0.353
O31 0.734 0.610 0.430
O32 0.734 0.890 0.930
O33 0.769 0.130 0.581
O34 0.769 0.370 0.081
O35 0.873 0.074 0.740
O36 0.873 0.426 0.240
O37 0.891 0.744 0.309
O38 0.891 0.756 0.809
O39 0.899 0.524 0.584
O40 0.899 0.976 0.084
O41 0.904 0.053 0.331
O42 0.904 0.447 0.831

Peak list (10 most intense, 10 to 90 degrees two-theta, low angle first)
2θ/deg  I (rel.)  (hkl)
17.30  75  1 1 -1
21.55  84  1 0 2
21.76  100  1 0 -4
22.01  59  0 2 0
24.23  22  1 1 2
25.82  48  1 2 -1
30.99  23  1 2 2
31.14  21  1 2 -4
33.75  32  2 1 1
34.02  25  2 1 -5